(1)
This entry pairs a crystal structure of AlWS with its calculated X-ray powder pattern. Radiation: Cu Kα (weighted mean of Kα1 and Kα2). Structure: a crystal structure in Alexandria, relaxed with GGA-PBE.
Intensities are scaled so that the largest is 100.

Atomic structure:
```
AlWS
1.0
15.391 0.000 0.000
0.000 1.500 2.598
0.000 -1.500 2.598
Al W S
2 2 2
Cartesian
2.164 0.000 0.000
13.227 0.000 0.000
0.000 0.000 3.466
7.695 0.000 3.809
6.048 0.000 2.077
9.343 0.000 2.077
```

The 8 most intense peaks (2θ from 10° to 80°), in order of falling intensity:
| 2θ/deg | intensity |
| --- | --- |
| 11.50 | 100 |
| 36.50 | 34 |
| 41.96 | 31 |
| 49.96 | 15 |
| 34.52 | 14 |
| 35.00 | 11 |
| 23.12 | 9 |
| 59.82 | 7 |



(2)
This entry pairs a crystal structure of YAlS with its calculated X-ray powder pattern. Radiation: Cu Kα (weighted mean of Kα1 and Kα2). Structure: a crystal structure in Alexandria, relaxed with GGA-PBE.
Intensities are scaled so that the largest is 100.

Atomic structure:
```
YAlS
1.0
3.772 0.000 0.000
0.000 1.931 9.049
0.000 -1.931 9.049
Y Al S
2 2 2
Cartesian
0.000 0.000 0.000
1.886 0.000 5.586
0.000 0.000 12.271
1.886 0.000 2.553
0.000 0.000 15.049
1.886 0.000 8.410
```

The 8 most intense peaks (2θ from 10° to 80°), in order of falling intensity:
| 2θ/deg | intensity |
| --- | --- |
| 33.57 | 100 |
| 41.75 | 48 |
| 29.62 | 48 |
| 25.58 | 24 |
| 27.42 | 23 |
| 48.78 | 19 |
| 42.05 | 19 |
| 19.62 | 18 |



(3)
This entry pairs a crystal structure of YAl2S4 with its calculated X-ray powder pattern. Radiation: Cu Kα (weighted mean of Kα1 and Kα2). Structure: a crystal structure in Alexandria, relaxed with GGA-PBE.
Intensities are scaled so that the largest is 100.

Atomic structure:
```
YAl2S4
1.0
0.000 6.817 3.848
6.108 0.000 3.848
6.108 6.817 0.000
Y Al S
2 4 8
Cartesian
0.000 0.000 0.000
3.054 3.409 1.924
5.320 4.595 3.979
9.950 8.003 5.903
6.896 9.040 3.979
8.374 12.449 5.903
7.658 7.871 2.089
7.574 4.660 3.941
4.604 2.355 4.013
4.558 5.764 2.089
7.696 8.069 5.865
7.612 11.280 4.013
4.642 8.974 3.941
4.520 5.566 5.865
```

The 8 most intense peaks (2θ from 10° to 80°), in order of falling intensity:
| 2θ/deg | intensity |
| --- | --- |
| 23.88 | 100 |
| 46.40 | 67 |
| 27.39 | 63 |
| 39.94 | 58 |
| 15.08 | 49 |
| 25.60 | 43 |
| 19.51 | 40 |
| 30.42 | 36 |